Entry 1:
For ZrZn20Cu2, a structure optimized by DFT (PBE) gives the theoretical PXRD pattern in this record (Cu Kα X-rays).

Most intense lines, 10° ≤ 2θ ≤ 90°, in order of falling intensity:
| d (Å) | I (rel.) |
| --- | --- |
| 2.373 | 100.0 |
| 2.117 | 93.7 |
| 2.141 | 85.8 |
| 1.241 | 51.1 |
| 2.220 | 49.3 |
| 1.966 | 33.2 |
| 2.027 | 27.3 |
| 1.351 | 23.4 |
| 1.655 | 20.3 |
| 1.191 | 19.9 |

Cell and atoms:
a = 9.9287 Å, b = 9.9287 Å, c = 9.9287 Å
α = 60.00°, β = 60.00°, γ = 60.00°
Sites, in units of the cell vectors:
Zr (0.1250, 0.1250, 0.1250)
Zr (0.8750, 0.8750, 0.8750)
Zn (0.0000, 0.0000, 0.0000)
Zn (0.0000, 0.0000, 0.5000)
Zn (0.0000, 0.5000, 0.0000)
Zn (0.0580, 0.3206, 0.3206)
Zn (0.0580, 0.3206, 0.8008)
Zn (0.0580, 0.8008, 0.3206)
Zn (0.1992, 0.6794, 0.6794)
Zn (0.1992, 0.6794, 0.9420)
Zn (0.1992, 0.9420, 0.6794)
Zn (0.2350, 0.2350, 0.5150)
Zn (0.2350, 0.5150, 0.2350)
Zn (0.2350, 0.5150, 0.5150)
Zn (0.3206, 0.0580, 0.3206)
Zn (0.3206, 0.0580, 0.8008)
Zn (0.3206, 0.3206, 0.0580)
Zn (0.3206, 0.3206, 0.8008)
Zn (0.3206, 0.8008, 0.0580)
Zn (0.3206, 0.8008, 0.3206)
Zn (0.4850, 0.4850, 0.7650)
Zn (0.4850, 0.7650, 0.4850)
Zn (0.4850, 0.7650, 0.7650)
Zn (0.5000, 0.0000, 0.0000)
Zn (0.5150, 0.2350, 0.2350)
Zn (0.5150, 0.2350, 0.5150)
Zn (0.5150, 0.5150, 0.2350)
Zn (0.6794, 0.1992, 0.6794)
Zn (0.6794, 0.1992, 0.9420)
Zn (0.6794, 0.6794, 0.1992)
Zn (0.6794, 0.6794, 0.9420)
Zn (0.6794, 0.9420, 0.1992)
Zn (0.6794, 0.9420, 0.6794)
Zn (0.7650, 0.4850, 0.4850)
Zn (0.7650, 0.4850, 0.7650)
Zn (0.7650, 0.7650, 0.4850)
Zn (0.8008, 0.0580, 0.3206)
Zn (0.8008, 0.3206, 0.0580)
Zn (0.8008, 0.3206, 0.3206)
Zn (0.9420, 0.1992, 0.6794)
Zn (0.9420, 0.6794, 0.1992)
Zn (0.9420, 0.6794, 0.6794)
Cu (0.0000, 0.5000, 0.5000)
Cu (0.5000, 0.0000, 0.5000)
Cu (0.5000, 0.5000, 0.0000)
Cu (0.5000, 0.5000, 0.5000)



Entry 2:
For Li2FeS2, a structure optimized by DFT (PBE) gives the theoretical PXRD pattern in this record (Cu Kα X-rays).

Most intense lines, 10° ≤ 2θ ≤ 90°, in order of falling intensity:
| d (Å) | I (rel.) |
| --- | --- |
| 4.292 | 100.0 |
| 2.493 | 33.8 |
| 1.945 | 31.3 |
| 1.702 | 19.2 |
| 2.329 | 16.5 |
| 2.455 | 15.5 |
| 5.519 | 14.2 |
| 1.576 | 9.4 |
| 1.257 | 6.8 |
| 1.494 | 6.7 |

Cell and atoms:
a = 3.3895 Å, b = 4.6587 Å, c = 11.0377 Å
α = 90.00°, β = 90.00°, γ = 90.00°
Sites, in units of the cell vectors:
Li (0.0000, 0.0000, 0.1984)
Li (0.0000, 0.0000, 0.8016)
Li (0.5000, 0.5000, 0.3016)
Li (0.5000, 0.5000, 0.6984)
Fe (0.0000, 0.0000, 0.5000)
Fe (0.5000, 0.5000, 0.0000)
S (0.0000, 0.5000, 0.1362)
S (0.0000, 0.5000, 0.8638)
S (0.5000, 0.0000, 0.3638)
S (0.5000, 0.0000, 0.6362)



Entry 3:
For Zn2BrN, a structure optimized by DFT (PBE) gives the theoretical PXRD pattern in this record (Cu Kα X-rays).

Most intense lines, 10° ≤ 2θ ≤ 90°, in order of falling intensity:
| d (Å) | I (rel.) |
| --- | --- |
| 2.600 | 100.0 |
| 2.905 | 68.6 |
| 2.381 | 47.4 |
| 3.288 | 45.8 |
| 2.113 | 37.5 |
| 3.140 | 34.4 |
| 3.075 | 29.6 |
| 2.246 | 25.7 |
| 2.405 | 24.3 |
| 2.373 | 20.5 |

Cell and atoms:
a = 6.2798 Å, b = 7.7180 Å, c = 6.1501 Å
α = 90.00°, β = 90.00°, γ = 90.00°
Sites, in units of the cell vectors:
Zn (0.0188, 0.0318, 0.0000)
Zn (0.1321, 0.6823, 0.1874)
Zn (0.3679, 0.1823, 0.6874)
Zn (0.4812, 0.5318, 0.5000)
Zn (0.5188, 0.4682, 0.0000)
Zn (0.6321, 0.8177, 0.1874)
Zn (0.8679, 0.3177, 0.6874)
Zn (0.9812, 0.9682, 0.5000)
Br (0.0809, 0.6197, 0.7196)
Br (0.4191, 0.1197, 0.2196)
Br (0.5809, 0.8803, 0.7196)
Br (0.9191, 0.3803, 0.2196)
N (0.0679, 0.1271, 0.7195)
N (0.4321, 0.6271, 0.2195)
N (0.5679, 0.3729, 0.7195)
N (0.9321, 0.8729, 0.2195)



Entry 4:
For Al2TcPd, a structure optimized by DFT (PBE) gives the theoretical PXRD pattern in this record (Cu Kα X-rays).

Most intense lines, 10° ≤ 2θ ≤ 90°, in order of falling intensity:
| d (Å) | I (rel.) |
| --- | --- |
| 2.154 | 100.0 |
| 3.046 | 46.5 |
| 1.243 | 32.6 |
| 1.523 | 16.3 |
| 1.362 | 15.4 |
| 1.758 | 12.3 |

Cell and atoms:
a = 6.0912 Å, b = 6.0912 Å, c = 6.0912 Å
α = 90.00°, β = 90.00°, γ = 90.00°
Sites, in units of the cell vectors:
Al (0.2500, 0.2500, 0.2500)
Al (0.2500, 0.2500, 0.7500)
Al (0.2500, 0.7500, 0.2500)
Al (0.2500, 0.7500, 0.7500)
Al (0.7500, 0.2500, 0.2500)
Al (0.7500, 0.2500, 0.7500)
Al (0.7500, 0.7500, 0.2500)
Al (0.7500, 0.7500, 0.7500)
Tc (0.0000, 0.0000, 0.0000)
Tc (0.0000, 0.5000, 0.5000)
Tc (0.5000, 0.0000, 0.5000)
Tc (0.5000, 0.5000, 0.0000)
Pd (0.0000, 0.0000, 0.5000)
Pd (0.0000, 0.5000, 0.0000)
Pd (0.5000, 0.0000, 0.0000)
Pd (0.5000, 0.5000, 0.5000)